(1)
The following is a calculated powder diffractogram of Ir2OsN10Cl10. It was derived from a GGA-PBE-relaxed structure, using copper Kα.
No peak broadening, texture or thermal motion is included.

Crystal structure
Unit cell a=7.865 b=7.865 c=11.455 alpha=109.07 beta=109.07 gamma=66.66
Fractional coordinates of all 23 atoms:
Ir (0.133, 0.133, 0.220)
Ir (0.867, 0.867, 0.780)
Os (0.500, 0.500, 0.000)
N (0.001, 0.702, 0.602)
N (0.010, 0.010, 0.821)
N (0.032, 0.681, 0.864)
N (0.298, 0.999, 0.398)
N (0.319, 0.968, 0.136)
N (0.681, 0.032, 0.864)
N (0.702, 0.001, 0.602)
N (0.968, 0.319, 0.136)
N (0.990, 0.990, 0.179)
N (0.999, 0.298, 0.398)
Cl (0.156, 0.156, 0.473)
Cl (0.221, 0.779, 0.000)
Cl (0.321, 0.321, 0.984)
Cl (0.332, 0.332, 0.332)
Cl (0.439, 0.439, 0.784)
Cl (0.561, 0.561, 0.216)
Cl (0.668, 0.668, 0.668)
Cl (0.679, 0.679, 0.016)
Cl (0.779, 0.221, 0.000)
Cl (0.844, 0.844, 0.527)

Largest 8 diffraction maxima, by intensity, 10° ≤ 2θ ≤ 90°:
d [Å]  two_theta  Rel. int.
6.446  13.7  100
5.319  16.7  65
4.322  20.6  43
3.475  25.6  27
2.480  36.2  21
4.770  18.6  21
3.590  24.8  20
3.654  24.4  20

(2)
The following is a calculated powder diffractogram of Pr6Ir2NCl3. It was derived from a GGA-PBE-relaxed structure, using copper Kα.
No peak broadening, texture or thermal motion is included.

Crystal structure
Unit cell a=7.009 b=7.009 c=7.840 alpha=98.20 beta=98.20 gamma=119.94
Fractional coordinates of all 12 atoms:
Pr (0.063, 0.374, 0.195)
Pr (0.252, 0.252, 0.804)
Pr (0.374, 0.063, 0.195)
Pr (0.626, 0.937, 0.805)
Pr (0.748, 0.748, 0.196)
Pr (0.937, 0.626, 0.805)
Ir (0.333, 0.667, 0.000)
Ir (0.667, 0.333, 0.000)
N (0.000, 0.000, 0.000)
Cl (0.158, 0.842, 0.500)
Cl (0.500, 0.500, 0.500)
Cl (0.842, 0.158, 0.500)

Largest 8 diffraction maxima, by intensity, 10° ≤ 2θ ≤ 90°:
d [Å]  two_theta  Rel. int.
2.985  29.9  100
7.514  11.8  88
2.024  44.8  54
2.960  30.2  51
2.189  41.2  28
2.379  37.8  28
1.670  55.0  17
1.764  51.8  16

(3)
The following is a calculated powder diffractogram of Ir2PtN10Cl10. It was derived from a GGA-PBE-relaxed structure, using copper Kα.
No peak broadening, texture or thermal motion is included.

Crystal structure
Unit cell a=8.264 b=8.264 c=10.090 alpha=98.67 beta=98.67 gamma=88.87
Fractional coordinates of all 23 atoms:
Ir (0.148, 0.148, 0.217)
Ir (0.852, 0.852, 0.783)
Pt (0.500, 0.500, 0.000)
N (0.031, 0.753, 0.901)
N (0.077, 0.293, 0.385)
N (0.247, 0.969, 0.099)
N (0.293, 0.077, 0.385)
N (0.303, 0.303, 0.192)
N (0.697, 0.697, 0.808)
N (0.707, 0.923, 0.615)
N (0.753, 0.031, 0.901)
N (0.923, 0.707, 0.615)
N (0.969, 0.247, 0.099)
Cl (0.049, 0.049, 0.756)
Cl (0.188, 0.812, 0.000)
Cl (0.201, 0.201, 0.483)
Cl (0.313, 0.313, 0.027)
Cl (0.414, 0.414, 0.773)
Cl (0.586, 0.586, 0.227)
Cl (0.687, 0.687, 0.973)
Cl (0.799, 0.799, 0.517)
Cl (0.812, 0.188, 0.000)
Cl (0.951, 0.951, 0.244)

Largest 8 diffraction maxima, by intensity, 10° ≤ 2θ ≤ 90°:
d [Å]  two_theta  Rel. int.
5.786  15.3  100
5.875  15.1  66
5.512  16.1  62
3.991  22.3  26
3.968  22.4  25
3.649  24.4  22
3.358  26.5  22
2.312  39.0  19

(4)
The following is a calculated powder diffractogram of ReIr2N10Cl10. It was derived from a GGA-PBE-relaxed structure, using copper Kα.
No peak broadening, texture or thermal motion is included.

Crystal structure
Unit cell a=8.255 b=8.255 c=9.785 alpha=102.82 beta=102.82 gamma=68.27
Fractional coordinates of all 23 atoms:
Re (0.000, 0.000, 0.000)
Ir (0.358, 0.358, 0.751)
Ir (0.642, 0.642, 0.249)
N (0.186, 0.503, 0.845)
N (0.209, 0.487, 0.546)
N (0.487, 0.209, 0.546)
N (0.496, 0.496, 0.766)
N (0.497, 0.814, 0.155)
N (0.503, 0.186, 0.845)
N (0.504, 0.504, 0.234)
N (0.513, 0.791, 0.454)
N (0.791, 0.513, 0.454)
N (0.814, 0.497, 0.155)
Cl (0.041, 0.041, 0.242)
Cl (0.168, 0.168, 0.005)
Cl (0.173, 0.173, 0.656)
Cl (0.252, 0.748, 0.000)
Cl (0.342, 0.342, 0.460)
Cl (0.658, 0.658, 0.540)
Cl (0.748, 0.252, 0.000)
Cl (0.827, 0.827, 0.344)
Cl (0.832, 0.832, 0.995)
Cl (0.959, 0.959, 0.758)

Largest 8 diffraction maxima, by intensity, 10° ≤ 2θ ≤ 90°:
d [Å]  two_theta  Rel. int.
5.505  16.1  100
6.239  14.2  89
4.632  19.2  58
3.966  22.4  37
2.622  34.2  30
3.075  29.0  24
4.312  20.6  22
3.719  23.9  22

(5)
The following is a calculated powder diffractogram of Na2IrCl7. It was derived from a GGA-PBE-relaxed structure, using copper Kα.
No peak broadening, texture or thermal motion is included.

Crystal structure
Unit cell a=9.422 b=9.422 c=11.997 alpha=123.44 beta=123.44 gamma=45.77
Fractional coordinates of all 20 atoms:
Na (0.155, 0.698, 0.979)
Na (0.302, 0.845, 0.521)
Na (0.698, 0.155, 0.479)
Na (0.845, 0.302, 0.021)
Ir (0.198, 0.802, 0.750)
Ir (0.802, 0.198, 0.250)
Cl (0.035, 0.264, 0.293)
Cl (0.080, 0.735, 0.502)
Cl (0.130, 0.870, 0.250)
Cl (0.264, 0.035, 0.793)
Cl (0.265, 0.920, 0.998)
Cl (0.410, 0.475, 0.800)
Cl (0.475, 0.410, 0.300)
Cl (0.525, 0.590, 0.700)
Cl (0.590, 0.525, 0.200)
Cl (0.735, 0.080, 0.002)
Cl (0.736, 0.965, 0.207)
Cl (0.870, 0.130, 0.750)
Cl (0.920, 0.265, 0.498)
Cl (0.965, 0.736, 0.707)

Largest 8 diffraction maxima, by intensity, 10° ≤ 2θ ≤ 90°:
d [Å]  two_theta  Rel. int.
6.956  12.7  100
6.243  14.2  75
4.799  18.5  47
2.405  37.4  27
5.959  14.9  25
2.862  31.3  21
2.255  40.0  18
4.512  19.7  15

(6)
The following is a calculated powder diffractogram of Na3IrCl8. It was derived from a GGA-PBE-relaxed structure, using copper Kα.
No peak broadening, texture or thermal motion is included.

Crystal structure
Unit cell a=6.816 b=6.816 c=8.288 alpha=90.00 beta=90.00 gamma=116.19
Fractional coordinates of all 12 atoms:
Na (0.000, 0.000, 0.000)
Na (0.000, 0.500, 0.758)
Na (0.500, 0.000, 0.242)
Ir (0.000, 0.000, 0.500)
Cl (0.201, 0.799, 0.500)
Cl (0.227, 0.232, 0.699)
Cl (0.232, 0.227, 0.301)
Cl (0.235, 0.765, 0.000)
Cl (0.765, 0.235, 0.000)
Cl (0.768, 0.773, 0.301)
Cl (0.773, 0.768, 0.699)
Cl (0.799, 0.201, 0.500)

Largest 8 diffraction maxima, by intensity, 10° ≤ 2θ ≤ 90°:
d [Å]  two_theta  Rel. int.
6.116  14.5  100
4.921  18.0  64
8.288  10.7  60
2.719  32.9  53
4.744  18.7  41
3.430  26.0  38
1.981  45.8  35
2.893  30.9  29

(7)
The following is a calculated powder diffractogram of NaSrIrCl6. It was derived from a GGA-PBE-relaxed structure, using copper Kα.
No peak broadening, texture or thermal motion is included.

Crystal structure
Unit cell a=6.897 b=6.897 c=11.908 alpha=90.00 beta=90.00 gamma=120.00
Fractional coordinates of all 18 atoms:
Na (0.000, 0.000, 0.000)
Na (0.000, 0.000, 0.500)
Sr (0.333, 0.667, 0.250)
Sr (0.667, 0.333, 0.750)
Ir (0.333, 0.667, 0.750)
Ir (0.667, 0.333, 0.250)
Cl (0.057, 0.386, 0.632)
Cl (0.057, 0.671, 0.868)
Cl (0.329, 0.386, 0.868)
Cl (0.329, 0.943, 0.632)
Cl (0.386, 0.057, 0.132)
Cl (0.386, 0.329, 0.368)
Cl (0.614, 0.671, 0.632)
Cl (0.614, 0.943, 0.868)
Cl (0.671, 0.057, 0.368)
Cl (0.671, 0.614, 0.132)
Cl (0.943, 0.329, 0.132)
Cl (0.943, 0.614, 0.368)

Largest 8 diffraction maxima, by intensity, 10° ≤ 2θ ≤ 90°:
d [Å]  two_theta  Rel. int.
5.962  14.9  100
2.984  29.9  82
2.254  40.0  65
4.217  21.1  57
5.339  16.6  51
3.449  25.8  27
1.991  45.6  26
2.110  42.9  25

(8)
The following is a calculated powder diffractogram of NaTc2IrCl. It was derived from a GGA-PBE-relaxed structure, using copper Kα.
No peak broadening, texture or thermal motion is included.

Crystal structure
Unit cell a=5.017 b=5.017 c=4.698 alpha=90.00 beta=90.00 gamma=90.00
Fractional coordinates of all 5 atoms:
Na (0.000, 0.000, 0.000)
Tc (0.000, 0.500, 0.000)
Tc (0.500, 0.000, 0.000)
Ir (0.000, 0.000, 0.500)
Cl (0.500, 0.500, 0.500)

Largest 8 diffraction maxima, by intensity, 10° ≤ 2θ ≤ 90°:
d [Å]  two_theta  Rel. int.
2.831  31.6  100
2.509  35.8  45
5.017  17.7  38
1.503  61.7  29
1.715  53.4  28
2.349  38.3  19
3.429  26.0  16
1.774  51.5  16

Repeat the eighth record exactly.
The following is a calculated powder diffractogram of NaTc2IrCl. It was derived from a GGA-PBE-relaxed structure, using copper Kα.
No peak broadening, texture or thermal motion is included.

Crystal structure
Unit cell a=5.017 b=5.017 c=4.698 alpha=90.00 beta=90.00 gamma=90.00
Fractional coordinates of all 5 atoms:
Na (0.000, 0.000, 0.000)
Tc (0.000, 0.500, 0.000)
Tc (0.500, 0.000, 0.000)
Ir (0.000, 0.000, 0.500)
Cl (0.500, 0.500, 0.500)

Largest 8 diffraction maxima, by intensity, 10° ≤ 2θ ≤ 90°:
d [Å]  two_theta  Rel. int.
2.831  31.6  100
2.509  35.8  45
5.017  17.7  38
1.503  61.7  29
1.715  53.4  28
2.349  38.3  19
3.429  26.0  16
1.774  51.5  16

Copy entry 7 word for word.
The following is a calculated powder diffractogram of NaSrIrCl6. It was derived from a GGA-PBE-relaxed structure, using copper Kα.
No peak broadening, texture or thermal motion is included.

Crystal structure
Unit cell a=6.897 b=6.897 c=11.908 alpha=90.00 beta=90.00 gamma=120.00
Fractional coordinates of all 18 atoms:
Na (0.000, 0.000, 0.000)
Na (0.000, 0.000, 0.500)
Sr (0.333, 0.667, 0.250)
Sr (0.667, 0.333, 0.750)
Ir (0.333, 0.667, 0.750)
Ir (0.667, 0.333, 0.250)
Cl (0.057, 0.386, 0.632)
Cl (0.057, 0.671, 0.868)
Cl (0.329, 0.386, 0.868)
Cl (0.329, 0.943, 0.632)
Cl (0.386, 0.057, 0.132)
Cl (0.386, 0.329, 0.368)
Cl (0.614, 0.671, 0.632)
Cl (0.614, 0.943, 0.868)
Cl (0.671, 0.057, 0.368)
Cl (0.671, 0.614, 0.132)
Cl (0.943, 0.329, 0.132)
Cl (0.943, 0.614, 0.368)

Largest 8 diffraction maxima, by intensity, 10° ≤ 2θ ≤ 90°:
d [Å]  two_theta  Rel. int.
5.962  14.9  100
2.984  29.9  82
2.254  40.0  65
4.217  21.1  57
5.339  16.6  51
3.449  25.8  27
1.991  45.6  26
2.110  42.9  25

Repeat the fifth record exactly.
The following is a calculated powder diffractogram of Na2IrCl7. It was derived from a GGA-PBE-relaxed structure, using copper Kα.
No peak broadening, texture or thermal motion is included.

Crystal structure
Unit cell a=9.422 b=9.422 c=11.997 alpha=123.44 beta=123.44 gamma=45.77
Fractional coordinates of all 20 atoms:
Na (0.155, 0.698, 0.979)
Na (0.302, 0.845, 0.521)
Na (0.698, 0.155, 0.479)
Na (0.845, 0.302, 0.021)
Ir (0.198, 0.802, 0.750)
Ir (0.802, 0.198, 0.250)
Cl (0.035, 0.264, 0.293)
Cl (0.080, 0.735, 0.502)
Cl (0.130, 0.870, 0.250)
Cl (0.264, 0.035, 0.793)
Cl (0.265, 0.920, 0.998)
Cl (0.410, 0.475, 0.800)
Cl (0.475, 0.410, 0.300)
Cl (0.525, 0.590, 0.700)
Cl (0.590, 0.525, 0.200)
Cl (0.735, 0.080, 0.002)
Cl (0.736, 0.965, 0.207)
Cl (0.870, 0.130, 0.750)
Cl (0.920, 0.265, 0.498)
Cl (0.965, 0.736, 0.707)

Largest 8 diffraction maxima, by intensity, 10° ≤ 2θ ≤ 90°:
d [Å]  two_theta  Rel. int.
6.956  12.7  100
6.243  14.2  75
4.799  18.5  47
2.405  37.4  27
5.959  14.9  25
2.862  31.3  21
2.255  40.0  18
4.512  19.7  15